The following is a computed powder X-ray diffraction pattern of PaBiI2. It was derived from the PBE geometry in Alexandria, using Cu Kα (λ = 1.5418 Å).
Intensities are scaled so that the largest is 100.

Lattice parameters (Å, degrees): 13.094 13.094 13.094 16.03 16.03 16.03
Sites, in units of the cell vectors:
1 Pa 0.000 0.000 0.000
2 Bi 0.500 0.500 0.500
3 I 0.392 0.392 0.392
4 I 0.608 0.608 0.608

Top 10 peaks for 10 to 80 degrees two-theta, by angle:
d (Å)  Position (°2θ)  Rel. int.
6.462  13.70  57
3.231  27.61  21
3.121  28.60  100
2.928  30.53  25
2.648  33.85  96
2.451  36.67  95
2.154  41.94  22
1.826  49.95  43
1.653  55.61  23
1.393  67.22  34